[1]
Calculated powder XRD pattern of Na2Pm3Hg8 for λ = 1.5418 Å (Cu Kα), from a structure optimized by DFT (PBE).
Kinematic intensities with the Lorentz-polarization factor, no thermal factor.

Main lines, most intense first (10 to 90 degrees two-theta):
2.610 Å, 34.36 deg, I = 100
2.521 Å, 35.61 deg, I = 66
2.655 Å, 33.75 deg, I = 42
3.564 Å, 24.99 deg, I = 42
1.525 Å, 60.72 deg, I = 35
2.461 Å, 36.52 deg, I = 31
3.754 Å, 23.70 deg, I = 31
2.367 Å, 38.01 deg, I = 25
2.846 Å, 31.43 deg, I = 24
1.674 Å, 54.83 deg, I = 22
1.782 Å, 51.27 deg, I = 20
2.682 Å, 33.41 deg, I = 19

Crystal structure
Cell: 11.8002 11.8002 11.8002 Å, 29.97 29.97 29.97°
Sites, in units of the cell vectors:
Na 0.1291 0.1291 0.1291
Na 0.8709 0.8709 0.8709
Pm 0.3066 0.3066 0.3066
Pm 0.5000 0.5000 0.5000
Pm 0.6934 0.6934 0.6934
Hg 0.2128 0.2128 0.2128
Hg 0.2257 0.2257 0.7219
Hg 0.2257 0.7219 0.2257
Hg 0.2781 0.7743 0.7743
Hg 0.7219 0.2257 0.2257
Hg 0.7743 0.2781 0.7743
Hg 0.7743 0.7743 0.2781
Hg 0.7872 0.7872 0.7872


[2]
Calculated powder XRD pattern of Ho5Ga2Bi2 for λ = 1.5418 Å (Cu Kα), from a structure optimized by DFT (PBE).
Kinematic intensities with the Lorentz-polarization factor, no thermal factor.

Main lines, most intense first (10 to 90 degrees two-theta):
2.779 Å, 32.21 deg, I = 100
2.488 Å, 36.10 deg, I = 97
2.718 Å, 32.96 deg, I = 68
2.624 Å, 34.17 deg, I = 60
2.818 Å, 31.75 deg, I = 60
2.936 Å, 30.45 deg, I = 49
1.607 Å, 57.33 deg, I = 35
1.423 Å, 65.62 deg, I = 34
1.782 Å, 51.26 deg, I = 30
1.396 Å, 67.04 deg, I = 29
3.563 Å, 24.99 deg, I = 28
1.956 Å, 46.42 deg, I = 26

Crystal structure
Cell: 8.7190 8.7190 7.9758 Å, 90.00 90.00 54.36°
Sites, in units of the cell vectors:
Ho 0.0000 0.0000 0.0000
Ho 0.0429 0.7051 0.6685
Ho 0.2051 0.5429 0.1685
Ho 0.2949 0.9571 0.6685
Ho 0.4571 0.7949 0.1685
Ho 0.5000 0.5000 0.5000
Ho 0.5429 0.2051 0.8315
Ho 0.7051 0.0429 0.3315
Ho 0.7949 0.4571 0.8315
Ho 0.9571 0.2949 0.3315
Ga 0.1270 0.8730 0.3740
Ga 0.3730 0.6270 0.8740
Ga 0.6270 0.3730 0.1260
Ga 0.8730 0.1270 0.6260
Bi 0.2080 0.2080 0.0000
Bi 0.2920 0.2920 0.5000
Bi 0.7080 0.7080 0.5000
Bi 0.7920 0.7920 0.0000


[3]
Calculated powder XRD pattern of LiWS4 for λ = 1.5418 Å (Cu Kα), from a structure optimized by DFT (PBE).
Kinematic intensities with the Lorentz-polarization factor, no thermal factor.

Main lines, most intense first (10 to 90 degrees two-theta):
6.050 Å, 14.64 deg, I = 100
2.616 Å, 34.28 deg, I = 33
2.103 Å, 43.02 deg, I = 30
4.353 Å, 20.40 deg, I = 28
4.207 Å, 21.12 deg, I = 23
2.878 Å, 31.07 deg, I = 23
2.670 Å, 33.57 deg, I = 21
1.717 Å, 53.36 deg, I = 15
2.069 Å, 43.76 deg, I = 15
1.639 Å, 56.11 deg, I = 14
2.221 Å, 40.61 deg, I = 13
3.272 Å, 27.25 deg, I = 11

Crystal structure
Cell: 8.4139 8.7068 3.2723 Å, 90.00 90.00 90.00°
Sites, in units of the cell vectors:
Li 0.0000 0.0000 0.0000
Li 0.5000 0.5000 0.0000
W 0.0000 0.5000 0.5000
W 0.5000 0.0000 0.5000
S 0.0000 0.3002 0.0000
S 0.0000 0.6998 0.0000
S 0.2221 0.0000 0.5000
S 0.2779 0.5000 0.5000
S 0.5000 0.1998 0.0000
S 0.5000 0.8002 0.0000
S 0.7221 0.5000 0.5000
S 0.7779 0.0000 0.5000


[4]
Calculated powder XRD pattern of LiHo3In4 for λ = 1.5418 Å (Cu Kα), from a structure optimized by DFT (PBE).
Kinematic intensities with the Lorentz-polarization factor, no thermal factor.

Main lines, most intense first (10 to 90 degrees two-theta):
2.634 Å, 34.04 deg, I = 100
2.462 Å, 36.49 deg, I = 51
1.453 Å, 64.11 deg, I = 31
2.922 Å, 30.60 deg, I = 28
1.741 Å, 52.56 deg, I = 18
1.681 Å, 54.58 deg, I = 17
1.350 Å, 69.65 deg, I = 14
2.301 Å, 39.15 deg, I = 11
1.559 Å, 59.28 deg, I = 10
1.389 Å, 67.45 deg, I = 9
3.196 Å, 27.91 deg, I = 9
1.101 Å, 88.86 deg, I = 8

Crystal structure
Cell: 3.4824 3.4824 16.1083 Å, 90.00 90.00 90.00°
Sites, in units of the cell vectors:
Li 0.0000 0.0000 0.0000
Ho 0.0000 0.0000 0.2318
Ho 0.0000 0.0000 0.5000
Ho 0.0000 0.0000 0.7682
In 0.5000 0.5000 0.0972
In 0.5000 0.5000 0.3652
In 0.5000 0.5000 0.6348
In 0.5000 0.5000 0.9028


[5]
Calculated powder XRD pattern of YPa2Ni6 for λ = 1.5418 Å (Cu Kα), from a structure optimized by DFT (PBE).
Kinematic intensities with the Lorentz-polarization factor, no thermal factor.

Main lines, most intense first (10 to 90 degrees two-theta):
2.388 Å, 37.67 deg, I = 100
2.224 Å, 40.57 deg, I = 94
2.033 Å, 44.57 deg, I = 79
6.099 Å, 14.52 deg, I = 72
3.659 Å, 24.32 deg, I = 67
3.062 Å, 29.16 deg, I = 52
2.768 Å, 32.35 deg, I = 52
2.117 Å, 42.71 deg, I = 48
2.156 Å, 41.90 deg, I = 38
1.308 Å, 72.26 deg, I = 37
1.471 Å, 63.21 deg, I = 31
1.192 Å, 80.62 deg, I = 28

Crystal structure
Cell: 7.5307 7.5307 7.5307 Å, 153.79 125.33 61.61°
Sites, in units of the cell vectors:
Y 0.0000 0.0000 0.0000
Pa 0.3557 0.8557 0.5000
Pa 0.6443 0.1443 0.5000
Ni 0.0164 0.3226 0.6939
Ni 0.3248 0.5000 0.8248
Ni 0.3713 0.6774 0.6939
Ni 0.6287 0.3226 0.3061
Ni 0.6752 0.5000 0.1752
Ni 0.9836 0.6774 0.3061


[6]
Calculated powder XRD pattern of PmMg8In6 for λ = 1.5418 Å (Cu Kα), from a structure optimized by DFT (PBE).
Kinematic intensities with the Lorentz-polarization factor, no thermal factor.

Main lines, most intense first (10 to 90 degrees two-theta):
2.529 Å, 35.49 deg, I = 100
2.491 Å, 36.06 deg, I = 99
3.549 Å, 25.09 deg, I = 84
6.056 Å, 14.63 deg, I = 50
1.775 Å, 51.49 deg, I = 34
1.453 Å, 64.10 deg, I = 34
2.334 Å, 38.58 deg, I = 27
4.381 Å, 20.27 deg, I = 20
1.431 Å, 65.19 deg, I = 18
2.060 Å, 43.96 deg, I = 18
1.460 Å, 63.73 deg, I = 17
1.833 Å, 49.73 deg, I = 16

Crystal structure
Cell: 7.8910 7.8910 7.8910 Å, 67.44 67.44 67.44°
Sites, in units of the cell vectors:
Pm 0.0000 0.0000 0.0000
Mg 0.1137 0.7800 0.4454
Mg 0.2200 0.5546 0.8863
Mg 0.3373 0.3373 0.3373
Mg 0.4454 0.1137 0.7800
Mg 0.5546 0.8863 0.2200
Mg 0.6627 0.6627 0.6627
Mg 0.7800 0.4454 0.1137
Mg 0.8863 0.2200 0.5546
In 0.0562 0.4034 0.7156
In 0.2844 0.9438 0.5966
In 0.4034 0.7156 0.0562
In 0.5966 0.2844 0.9438
In 0.7156 0.0562 0.4034
In 0.9438 0.5966 0.2844


What did the first record say?
Calculated powder XRD pattern of Na2Pm3Hg8 for λ = 1.5418 Å (Cu Kα), from a structure optimized by DFT (PBE).
Kinematic intensities with the Lorentz-polarization factor, no thermal factor.

Main lines, most intense first (10 to 90 degrees two-theta):
2.610 Å, 34.36 deg, I = 100
2.521 Å, 35.61 deg, I = 66
2.655 Å, 33.75 deg, I = 42
3.564 Å, 24.99 deg, I = 42
1.525 Å, 60.72 deg, I = 35
2.461 Å, 36.52 deg, I = 31
3.754 Å, 23.70 deg, I = 31
2.367 Å, 38.01 deg, I = 25
2.846 Å, 31.43 deg, I = 24
1.674 Å, 54.83 deg, I = 22
1.782 Å, 51.27 deg, I = 20
2.682 Å, 33.41 deg, I = 19

Crystal structure
Cell: 11.8002 11.8002 11.8002 Å, 29.97 29.97 29.97°
Sites, in units of the cell vectors:
Na 0.1291 0.1291 0.1291
Na 0.8709 0.8709 0.8709
Pm 0.3066 0.3066 0.3066
Pm 0.5000 0.5000 0.5000
Pm 0.6934 0.6934 0.6934
Hg 0.2128 0.2128 0.2128
Hg 0.2257 0.2257 0.7219
Hg 0.2257 0.7219 0.2257
Hg 0.2781 0.7743 0.7743
Hg 0.7219 0.2257 0.2257
Hg 0.7743 0.2781 0.7743
Hg 0.7743 0.7743 0.2781
Hg 0.7872 0.7872 0.7872